Sm2HoScO6: theoretical XRD peak list (Cu Kα (weighted mean of Kα1 and Kα2)), based on a structure optimized by DFT (GGA-PBE).
Neutral-atom scattering factors, no anomalous dispersion.

Main lines, in order of falling intensity (2θ = 15–90°):
2θ = 29.91°, I = 100.0
2θ = 30.88°, I = 92.7
2θ = 43.53°, I = 43.2
2θ = 54.32°, I = 41.6
2θ = 54.92°, I = 27.3
2θ = 48.34°, I = 27.2
2θ = 21.37°, I = 18.9
2θ = 18.67°, I = 18.8
2θ = 52.48°, I = 15.8
2θ = 72.56°, I = 15.2

Atomic structure:
abc: 5.981 5.981 5.981
angles: 57.91 57.91 57.91
Positions (direct):
Sm 0.000 0.000 0.000
Sm 0.499 0.499 0.499
Ho 0.222 0.222 0.222
Sc 0.718 0.718 0.718
O 0.076 0.435 0.840
O 0.350 0.917 0.594
O 0.435 0.840 0.076
O 0.594 0.350 0.917
O 0.840 0.076 0.435
O 0.917 0.594 0.350